Structure and computed XRD peak list of Cs2NaBi2 (DFT lattice parameters and positions (GGA-PBE); Cu Ka).
Lines closer than 0.1° are merged.

Cell: 5.5215 5.4959 15.8961 Å, 90.00 90.00 90.00°
Space group Amm2 (No. 38)
Asymmetric unit:
Cs  0.0000  0.0000  0.0000 [2 per cell]
Cs  0.0000  0.0000  0.2346 [2 per cell]
Na  0.5000  0.0000  0.8154 [2 per cell]
Bi  0.5000  0.0000  0.4202 [2 per cell]
Bi  0.5000  0.0000  0.6074 [2 per cell]

Principal peaks in the range 15° ≤ 2θ ≤ 90°, in order of falling intensity:
- 2θ = 23.51°, intensity 1000, hkl 1 1 1
- 2θ = 32.55°, intensity 570, hkl 0 2 0
- 2θ = 46.61°, intensity 423, hkl 2 2 0
- 2θ = 27.66°, intensity 361, hkl 1 0 4
- 2θ = 43.25°, intensity 217, hkl 1 2 4
- 2θ = 32.43°, intensity 210, hkl 2 0 0
- 2θ = 17.07°, intensity 163, hkl 0 1 1
- 2θ = 68.13°, intensity 146, hkl 2 3 5
- 2θ = 52.97°, intensity 120, hkl 1 3 1
- 2θ = 52.77°, intensity 115, hkl 3 1 1

***

Structure and computed XRD peak list of RbSmCdCl6 (DFT lattice parameters and positions (GGA-PBE); Cu Ka).
Lines closer than 0.1° are merged.

Cell: 7.0509 7.0509 14.4917 Å, 90.00 90.00 120.00°
Space group P-31c (No. 163)
Asymmetric unit:
Rb  0.0000  0.0000  0.0000 [2 per cell]
Sm  0.3333  0.6667  0.2500 [2 per cell]
Cd  0.3333  0.6667  0.7500 [2 per cell]
Cl  0.0051  0.3790  0.6434 [12 per cell]

Principal peaks in the range 15° ≤ 2θ ≤ 90°, in order of falling intensity:
- 2θ = 19.01°, intensity 1000, hkl 1 0 2
- 2θ = 35.53°, intensity 802, hkl 1 1 4
- 2θ = 28.15°, intensity 398, hkl 1 1 2
- 2θ = 25.26°, intensity 295, hkl 1 1 0
- 2θ = 41.04°, intensity 281, hkl 2 1 2
- 2θ = 44.51°, intensity 277, hkl 3 0 0
- 2θ = 31.80°, intensity 221, hkl 2 0 2
- 2θ = 58.20°, intensity 159, hkl 4 -2 4
- 2θ = 45.52°, intensity 144, hkl 2 -1 6
- 2θ = 76.11°, intensity 141, hkl 4 1 4